Pa3Ga2Ni7: simulated powder X-ray diffraction pattern (Cu Kα (λ = 1.5418 Å)), based on the GGA-PBE geometry in Alexandria.
No peak broadening, texture or thermal motion is included.

Structure:
```
Pa3Ga2Ni7
1.0
1.9435 -13.0459 0.0000
1.9435 13.0459 0.0000
0.0000 0.0000 3.7588
Pa Ga Ni
3 2 7
direct
0.0000 0.0000 0.0000
0.3142 0.6858 0.5000
0.6858 0.3142 0.5000
0.1295 0.8705 0.0000
0.8705 0.1295 0.0000
0.0718 0.9282 0.5000
0.2211 0.7789 0.0000
0.4272 0.5728 0.0000
0.5000 0.5000 0.5000
0.5728 0.4272 0.0000
0.7789 0.2211 0.0000
0.9282 0.0718 0.5000
```

The 10 most intense peaks (2θ = 15–90°), most intense first:
d [Å], 2theta, I (rel.)
2.399, 37.5, 100
2.463, 36.5, 41
2.688, 33.3, 30
3.549, 25.1, 29
1.943, 46.7, 28
1.879, 48.4, 26
1.526, 60.7, 24
3.612, 24.6, 21
2.580, 34.8, 21
1.351, 69.6, 19